The following is a simulated PXRD pattern of Pm3Ho2Pb3. It was derived from a structure optimized by DFT (GGA-PBE), using Cu Kα X-rays.
Intensities are scaled so that the largest is 100.

Main lines, by angle (10 to 80 degrees two-theta):
2θ = 11.09°, d = 7.977 Å, I 12.3, (1 0 0); 2θ = 26.55°, d = 3.357 Å, I 22.4, (0 0 2); 2θ = 29.63°, d = 3.015 Å, I 25.3, (2 1 0); 2θ = 32.56°, d = 2.750 Å, I 100.0, (2 1 1); 2θ = 33.02°, d = 2.713 Å, I 75.7, (1 1 2); 2θ = 33.71°, d = 2.659 Å, I 40.1, (3 0 0); 2θ = 34.94°, d = 2.568 Å, I 14.3, (2 0 2); 2θ = 43.05°, d = 2.101 Å, I 20.9, (3 1 1); 2θ = 47.91°, d = 1.899 Å, I 14.7, (2 2 2); 2θ = 50.81°, d = 1.797 Å, I 29.0, (2 1 3); 2θ = 57.37°, d = 1.606 Å, I 12.6, (3 2 2); 2θ = 64.69°, d = 1.441 Å, I 22.4, (5 0 2)

Crystal structure
abc: 9.211 9.211 6.714
angles: 90.00 90.00 120.00
Atoms (fractional coordinates):
Pm 0.000 0.239 0.250
Pm 0.000 0.761 0.750
Pm 0.239 0.000 0.250
Pm 0.239 0.239 0.750
Pm 0.761 0.000 0.750
Pm 0.761 0.761 0.250
Ho 0.333 0.667 0.000
Ho 0.333 0.667 0.500
Ho 0.667 0.333 0.000
Ho 0.667 0.333 0.500
Pb 0.000 0.397 0.750
Pb 0.000 0.603 0.250
Pb 0.397 0.000 0.750
Pb 0.397 0.397 0.250
Pb 0.603 0.000 0.250
Pb 0.603 0.603 0.750